Record 1
For Cs2CaAlF6, a structure optimized by DFT (GGA-PBE) gives the computed X-ray diffraction stick pattern in this record (Cu Ka).

Main lines, by angle (10° ≤ 2θ ≤ 80°):
h k l, two_theta, I_rel
0 0 1, 14.70, 61
1 0 1, 21.02, 94
1 1 0, 26.03, 100
1 1 1, 30.02, 37
0 1 2, 33.35, 48
0 2 1, 33.69, 69
2 0 2, 42.79, 44
1 2 2, 50.77, 28

Structural model:
```
Cs2CaAlF6
1.0
6.8455 0.0000 0.0000
-3.4227 5.9284 0.0000
0.0000 0.0000 6.0277
Cs Ca Al F
2 1 1 6
Direct
0.3333 0.6667 0.1248 Cs
0.6667 0.3333 0.8752 Cs
0.0000 0.0000 0.5000 Ca
0.0000 0.0000 0.0000 Al
0.1230 0.2460 0.8131 F
0.1230 0.8770 0.8131 F
0.2460 0.1230 0.1869 F
0.7540 0.8770 0.8131 F
0.8770 0.1230 0.1869 F
0.8770 0.7540 0.1869 F
```

=====

Record 2
For Ca2AlCu3, a structure optimized by DFT (GGA-PBE) gives the computed X-ray diffraction stick pattern in this record (Cu Ka).

Main lines, by angle (10° ≤ 2θ ≤ 80°):
h k l, two_theta, I_rel
0 0 2, 20.80, 27
1 0 3, 36.81, 44
1 1 2, 39.04, 61
2 0 1, 39.39, 100
0 0 4, 42.33, 19
2 1 3, 61.03, 19
2 0 5, 67.56, 26
2 2 0, 68.44, 21

Structural model:
```
Ca2AlCu3
1.0
5.4836 0.0000 0.0000
-2.7418 4.7490 0.0000
0.0000 0.0000 8.5401
Ca Al Cu
4 2 6
Direct
0.3333 0.6667 0.0583 Ca
0.3333 0.6667 0.4417 Ca
0.6667 0.3333 0.5583 Ca
0.6667 0.3333 0.9417 Ca
0.0000 0.0000 0.0000 Al
0.0000 0.0000 0.5000 Al
0.1652 0.3304 0.7500 Cu
0.1652 0.8348 0.7500 Cu
0.3304 0.1652 0.2500 Cu
0.6696 0.8348 0.7500 Cu
0.8348 0.1652 0.2500 Cu
0.8348 0.6696 0.2500 Cu
```